The following is a calculated powder diffractogram of K2LiH6N3. It was derived from a PBE-relaxed structure, using a wavelength of 1.5418 Å.

```
data_K2LiH6N3
_symmetry_space_group_name_H-M 'P 42/m'
_symmetry_Int_Tables_number 84
_cell_length_a 6.955
_cell_length_b 6.955
_cell_length_c 11.948
_cell_angle_alpha 90.00
_cell_angle_beta 90.00
_cell_angle_gamma 90.00
loop_
_symmetry_equiv_pos_as_xyz
'x,y,z'
'-x,-y,-z'
'-y,x,z+1/2'
'y,-x,-z+1/2'
'-x,-y,z'
'x,y,-z'
'y,-x,z+1/2'
'-y,x,-z+1/2'
loop_
_atom_site_label
_atom_site_fract_x
_atom_site_fract_y
_atom_site_fract_z
K1 0.000 0.000 0.000
K2 0.000 0.500 0.150
K3 0.500 0.500 0.250
Li1 0.353 0.362 0.500
H1 0.069 0.346 0.373
H2 0.163 0.186 0.293
H3 0.266 0.677 0.433
N1 0.200 0.286 0.352
N2 0.296 0.355 0.000
```

Principal peaks in the range 10 to 80 degrees two-theta, sorted by position:
6.011 Å, I = 50, (1 0 1)
4.533 Å, I = 62, (1 0 2)
3.477 Å, I = 35, (2 0 0)
3.456 Å, I = 28, (1 0 3)
3.095 Å, I = 35, (1 1 3)
3.009 Å, I = 42, (1 2 1)
2.759 Å, I = 86, (2 1 2)
2.553 Å, I = 100, (1 1 4)
2.459 Å, I = 76, (2 2 0)
2.451 Å, I = 60, (2 1 3)
2.161 Å, I = 33, (3 0 2)
1.771 Å, I = 33, (3 1 4)

The following is a calculated powder diffractogram of KLi2H3O3. It was derived from a PBE-relaxed structure, using a wavelength of 1.5418 Å.

```
data_KLi2H3O3
_symmetry_space_group_name_H-M 'P 1 21/m 1'
_symmetry_Int_Tables_number 11
_cell_length_a 5.776
_cell_length_b 5.179
_cell_length_c 6.122
_cell_angle_alpha 90.00
_cell_angle_beta 103.00
_cell_angle_gamma 90.00
loop_
_symmetry_equiv_pos_as_xyz
'x,y,z'
'-x,-y,-z'
'-x,y+1/2,-z'
'x,-y+1/2,z'
loop_
_atom_site_label
_atom_site_fract_x
_atom_site_fract_y
_atom_site_fract_z
K1 0.155 0.250 0.266
Li1 0.347 0.006 0.815
H1 0.033 0.750 0.350
H2 0.225 0.750 0.113
H3 0.387 0.750 0.448
O1 0.084 0.250 0.795
O2 0.325 0.750 0.584
O3 0.383 0.750 0.077
```

Principal peaks in the range 10 to 80 degrees two-theta, sorted by position:
3.911 Å, I = 24, (0 1 1)
2.983 Å, I = 23, (0 0 2)
2.921 Å, I = 17, (1 0 -2)
2.800 Å, I = 19, (2 0 -1)
2.588 Å, I = 96, (0 2 0)
2.544 Å, I = 58, (1 1 -2)
2.473 Å, I = 100, (2 1 0)
2.420 Å, I = 15, (1 0 2)
2.192 Å, I = 24, (1 1 2)
2.121 Å, I = 24, (2 1 -2)
1.768 Å, I = 20, (1 2 2)
1.471 Å, I = 16, (2 3 0)

The following is a calculated powder diffractogram of K2LiH2Se2O6. It was derived from a PBE-relaxed structure, using a wavelength of 1.5418 Å.

```
data_K2LiH2Se2O6
_symmetry_space_group_name_H-M 'P 1'
_symmetry_Int_Tables_number 1
_cell_length_a 5.150
_cell_length_b 6.816
_cell_length_c 7.718
_cell_angle_alpha 114.73
_cell_angle_beta 90.63
_cell_angle_gamma 109.62
loop_
_symmetry_equiv_pos_as_xyz
'x,y,z'
loop_
_atom_site_label
_atom_site_fract_x
_atom_site_fract_y
_atom_site_fract_z
K1 0.000 0.000 0.000
K2 0.311 0.675 0.559
Li1 0.716 0.397 0.143
H1 0.307 0.330 0.734
H2 0.547 0.121 0.838
Se1 0.321 0.631 0.052
Se2 0.654 0.186 0.435
O1 0.138 0.469 0.160
O2 0.199 0.435 0.791
O3 0.432 0.133 0.587
O4 0.528 0.071 0.940
O5 0.652 0.644 0.089
O6 0.682 0.443 0.432
```

Principal peaks in the range 10 to 80 degrees two-theta, sorted by position:
5.899 Å, I = 53, (0 1 -1)
4.774 Å, I = 54, (1 0 0)
4.619 Å, I = 83, (1 -1 0)
4.226 Å, I = 95, (1 -1 1)
3.676 Å, I = 48, (0 1 1)
3.636 Å, I = 51, (1 0 1)
3.450 Å, I = 100, (0 0 2)
3.138 Å, I = 64, (1 1 0)
3.007 Å, I = 63, (1 -2 0)
2.901 Å, I = 68, (1 1 -2)
2.822 Å, I = 57, (1 -2 2)
2.572 Å, I = 81, (2 -1 0)

The following is a calculated powder diffractogram of K2LiH2Se2O6. It was derived from a PBE-relaxed structure, using a wavelength of 1.5418 Å.

```
data_K2LiH2Se2O6
_symmetry_space_group_name_H-M 'P -1'
_symmetry_Int_Tables_number 2
_cell_length_a 5.310
_cell_length_b 6.720
_cell_length_c 7.107
_cell_angle_alpha 81.04
_cell_angle_beta 71.91
_cell_angle_gamma 87.64
loop_
_symmetry_equiv_pos_as_xyz
'x,y,z'
'-x,-y,-z'
loop_
_atom_site_label
_atom_site_fract_x
_atom_site_fract_y
_atom_site_fract_z
K1 0.161 0.038 0.230
Li1 0.000 0.500 0.500
H1 0.375 0.707 0.443
Se1 0.320 0.614 0.846
O1 0.195 0.722 0.530
O2 0.277 0.849 0.907
O3 0.349 0.430 0.217
```

Principal peaks in the range 10 to 80 degrees two-theta, sorted by position:
6.666 Å, I = 74, (0 0 1)
5.109 Å, I = 100, (0 1 1)
4.389 Å, I = 26, (0 1 -1)
4.003 Å, I = 97, (1 1 0)
3.716 Å, I = 34, (1 -1 1)
3.238 Å, I = 26, (-1 1 1)
3.169 Å, I = 22, (0 2 1)
3.017 Å, I = 24, (1 1 -1)
2.869 Å, I = 29, (1 2 1)
2.793 Å, I = 46, (1 -1 2)
2.646 Å, I = 27, (2 0 1)
2.524 Å, I = 22, (2 0 0)

The following is a calculated powder diffractogram of K2LiH2Se2O6. It was derived from a PBE-relaxed structure, using a wavelength of 1.5418 Å.

```
data_K2LiH2Se2O6
_symmetry_space_group_name_H-M 'P 1'
_symmetry_Int_Tables_number 1
_cell_length_a 6.049
_cell_length_b 6.128
_cell_length_c 6.918
_cell_angle_alpha 85.81
_cell_angle_beta 69.14
_cell_angle_gamma 65.60
loop_
_symmetry_equiv_pos_as_xyz
'x,y,z'
loop_
_atom_site_label
_atom_site_fract_x
_atom_site_fract_y
_atom_site_fract_z
K1 0.000 0.000 0.000
K2 0.426 0.350 0.785
Li1 0.082 0.799 0.472
H1 0.466 0.755 0.587
H2 0.841 0.537 0.781
Se1 0.071 0.317 0.385
Se2 0.586 0.696 0.141
O1 0.285 0.781 0.627
O2 0.323 0.645 0.164
O3 0.542 0.958 0.028
O4 0.846 0.473 0.921
O5 0.883 0.159 0.439
O6 0.884 0.585 0.543
```

Principal peaks in the range 10 to 80 degrees two-theta, sorted by position:
6.440 Å, I = 48, (0 0 1)
4.984 Å, I = 34, (1 0 1)
4.931 Å, I = 61, (1 1 0)
4.038 Å, I = 43, (0 1 1)
3.491 Å, I = 56, (1 1 -1)
3.458 Å, I = 36, (1 0 -1)
3.316 Å, I = 100, (1 0 2)
3.214 Å, I = 81, (1 -1 1)
3.027 Å, I = 32, (1 2 0)
2.999 Å, I = 73, (2 1 1)
2.687 Å, I = 72, (0 1 2)
1.887 Å, I = 47, (-1 2 1)

The following is a calculated powder diffractogram of K2LiH2Se2O6. It was derived from a PBE-relaxed structure, using a wavelength of 1.5418 Å.

```
data_K2LiH2Se2O6
_symmetry_space_group_name_H-M 'P -1'
_symmetry_Int_Tables_number 2
_cell_length_a 4.999
_cell_length_b 5.549
_cell_length_c 7.713
_cell_angle_alpha 79.90
_cell_angle_beta 80.08
_cell_angle_gamma 85.23
loop_
_symmetry_equiv_pos_as_xyz
'x,y,z'
'-x,-y,-z'
loop_
_atom_site_label
_atom_site_fract_x
_atom_site_fract_y
_atom_site_fract_z
K1 0.132 0.491 0.228
Li1 0.000 0.000 0.500
H1 0.420 0.225 0.509
Se1 0.392 0.026 0.831
O1 0.237 0.214 0.578
O2 0.282 0.942 0.276
O3 0.321 0.729 0.840
```

Principal peaks in the range 10 to 80 degrees two-theta, sorted by position:
7.495 Å, I = 25, (0 0 1)
5.455 Å, I = 47, (0 1 0)
4.917 Å, I = 20, (1 0 0)
3.752 Å, I = 100, (1 1 0)
3.557 Å, I = 34, (1 -1 0)
3.202 Å, I = 51, (-1 1 1)
3.034 Å, I = 29, (1 1 2)
2.727 Å, I = 23, (0 2 0)
2.592 Å, I = 37, (1 -1 2)
2.497 Å, I = 31, (0 0 3)
2.387 Å, I = 21, (1 0 3)
2.232 Å, I = 21, (2 0 -1)